Starting from a cell relaxed with PBE, the X-ray diffraction stick pattern of Ni7SbAs2 was simulated for Cu Ka.

Cell and atoms:
Cell lengths 3.8302, 3.8302, 18.2302 Å; angles 90.00, 90.00, 90.00 degrees
Space group I4/mmm (No. 139)
Asymmetric unit:
Ni (0.0000, 0.0000, 0.0000) (multiplicity 2)
Ni (0.0000, 0.5000, 0.0992) (multiplicity 8)
Ni (0.0000, 0.5000, 0.2500) (multiplicity 4)
Sb (0.0000, 0.0000, 0.5000) (multiplicity 2)
As (0.0000, 0.0000, 0.1734) (multiplicity 4)

Most intense lines, 2θ = 5–70°, by angle:
(hkl)	2theta	intensity
0 0 2	9.7	6
1 0 3	27.5	36
1 1 2	34.5	10
1 1 4	38.7	15
0 0 8	39.5	6
1 1 6	44.8	100
2 0 0	47.5	48
1 0 9	51.0	6
2 1 3	55.8	10
0 0 12	61.0	7
2 0 8	63.4	5
2 2 0	69.4	15

Starting from a cell relaxed with PBE, the X-ray diffraction stick pattern of Ni3Sb2As2 was simulated for Cu Ka.

Cell and atoms:
Cell lengths 6.1885, 6.4354, 6.4096 Å; angles 90.00, 106.16, 90.00 degrees
Space group P2_1/c (No. 14)
Asymmetric unit:
Ni (0.0000, 0.0000, 0.0000) (multiplicity 2)
Ni (0.2794, 0.0227, 0.7619) (multiplicity 4)
Sb (0.1499, 0.6509, 0.8846) (multiplicity 4)
As (0.3664, 0.1570, 0.1293) (multiplicity 4)

Most intense lines, 2θ = 5–70°, by angle:
(hkl)	2theta	intensity
0 1 2	32.2	82
2 1 -1	32.7	19
1 2 -1	33.0	100
2 1 0	33.2	76
1 1 -3	44.8	62
2 2 -2	45.8	31
3 1 -1	46.3	44
2 0 2	48.1	39
1 3 1	48.8	76
1 2 3	59.0	19
3 2 -3	62.4	21
2 4 -2	69.3	20

Starting from a cell relaxed with PBE, the X-ray diffraction stick pattern of UNi7Sb2As2 was simulated for Cu Ka.

Cell and atoms:
Cell lengths 3.7507, 3.7507, 28.6423 Å; angles 90.00, 90.00, 90.00 degrees
Space group I4/mmm (No. 139)
Asymmetric unit:
U (0.0000, 0.0000, 0.0000) (multiplicity 2)
Ni (0.0000, 0.0000, 0.3017) (multiplicity 4)
Ni (0.0000, 0.0000, 0.5000) (multiplicity 2)
Ni (0.0000, 0.5000, 0.0666) (multiplicity 8)
Sb (0.0000, 0.0000, 0.2118) (multiplicity 4)
As (0.0000, 0.0000, 0.3826) (multiplicity 4)

Most intense lines, 2θ = 5–70°, by angle:
(hkl)	2theta	intensity
0 0 2	6.2	100
0 0 4	12.4	73
1 0 3	25.5	28
1 0 5	28.4	79
0 0 10	31.2	30
1 1 0	33.8	52
1 1 4	36.1	33
1 1 6	38.8	52
1 1 8	42.4	44
1 1 10	46.7	87
1 0 13	47.9	24
2 0 0	48.5	70

Starting from a cell relaxed with PBE, the X-ray diffraction stick pattern of VNi7Sb2As2 was simulated for Cu Ka.

Cell and atoms:
Cell lengths 3.6113, 3.6113, 28.5475 Å; angles 90.00, 90.00, 90.00 degrees
Space group I4/mmm (No. 139)
Asymmetric unit:
V (0.0000, 0.0000, 0.0000) (multiplicity 2)
Ni (0.0000, 0.0000, 0.3043) (multiplicity 4)
Ni (0.0000, 0.0000, 0.5000) (multiplicity 2)
Ni (0.0000, 0.5000, 0.0613) (multiplicity 8)
Sb (0.0000, 0.0000, 0.2125) (multiplicity 4)
As (0.0000, 0.0000, 0.3853) (multiplicity 4)

Most intense lines, 2θ = 5–70°, by angle:
(hkl)	2theta	intensity
0 0 4	12.4	33
1 0 1	24.9	17
1 0 5	29.3	38
0 0 10	31.3	16
1 0 7	33.1	27
1 1 0	35.1	36
1 1 2	35.7	65
1 1 6	40.1	22
1 1 8	43.6	27
1 1 10	47.8	100
1 0 13	48.5	16
2 0 0	50.5	69

Starting from a cell relaxed with PBE, the X-ray diffraction stick pattern of Ni3AsSe5 was simulated for Cu Ka.

Cell and atoms:
Cell lengths 5.9198, 3.7046, 14.7113 Å; angles 90.00, 90.33, 90.00 degrees
Space group P2/m (No. 10)
Asymmetric unit:
Ni (0.0000, 0.0000, 0.0000) (multiplicity 1)
Ni (0.0010, 0.0000, 0.3311) (multiplicity 2)
Ni (0.4983, 0.5000, 0.1667) (multiplicity 2)
Ni (0.5000, 0.5000, 0.5000) (multiplicity 1)
As (0.1276, 0.5000, 0.2368) (multiplicity 2)
Se (0.1234, 0.5000, 0.9013) (multiplicity 2)
Se (0.1250, 0.5000, 0.5705) (multiplicity 2)
Se (0.3707, 0.0000, 0.0714) (multiplicity 2)
Se (0.3718, 0.0000, 0.4023) (multiplicity 2)
Se (0.3719, 0.0000, 0.7374) (multiplicity 2)

Most intense lines, 2θ = 5–70°, by angle:
(hkl)	2theta	intensity
1 1 0	28.4	14
0 1 3	30.2	73
1 1 -3	33.9	100
2 0 -3	35.3	44
2 0 3	35.5	42
1 1 -6	46.9	42
1 1 6	47.1	42
0 2 0	49.2	35
3 1 0	52.5	38
3 1 -3	55.9	10
2 2 -3	62.0	18
2 2 3	62.1	16

Starting from a cell relaxed with PBE, the X-ray diffraction stick pattern of Ni5As2Se was simulated for Cu Ka.

Cell and atoms:
Cell lengths 7.7147, 3.8407, 16.2482 Å; angles 90.00, 90.00, 90.00 degrees
Space group Pnma (No. 62)
Asymmetric unit:
Ni (0.1072, 0.2500, 0.1682) (multiplicity 4)
Ni (0.1176, 0.2500, 0.5045) (multiplicity 4)
Ni (0.1270, 0.2500, 0.8362) (multiplicity 4)
Ni (0.1290, 0.2500, 0.0042) (multiplicity 4)
Ni (0.1395, 0.2500, 0.3291) (multiplicity 4)
As (0.1255, 0.7500, 0.2484) (multiplicity 4)
As (0.1317, 0.7500, 0.9216) (multiplicity 4)
Se (0.1230, 0.7500, 0.5929) (multiplicity 4)

Most intense lines, 2θ = 5–70°, by angle:
(hkl)	2theta	intensity
1 0 2	15.8	4
0 1 1	23.8	7
2 0 3	28.4	76
3 1 3	45.6	5
4 0 0	47.1	25
0 2 0	47.3	27
2 1 6	47.4	100
4 1 3	56.0	10
2 2 3	56.1	12
0 1 9	56.3	10
4 2 0	69.0	15
0 0 12	69.4	7

Starting from a cell relaxed with PBE, the X-ray diffraction stick pattern of Ni2As2Se was simulated for Cu Ka.

Cell and atoms:
Cell lengths 6.8788, 6.8788, 3.3003 Å; angles 90.00, 90.00, 90.00 degrees
Space group P4/mbm (No. 127)
Asymmetric unit:
Ni (0.1314, 0.3686, 0.0000) (multiplicity 4)
As (0.1448, 0.6448, 0.5000) (multiplicity 4)
Se (0.0000, 0.0000, 0.0000) (multiplicity 2)

Most intense lines, 2θ = 5–70°, by angle:
(hkl)	2theta	intensity
1 1 0	18.2	6
1 1 1	32.8	12
2 2 0	37.0	6
2 0 1	37.8	15
2 1 1	40.1	100
3 1 0	41.5	55
3 1 1	50.2	4
4 0 0	53.3	8
0 0 2	55.7	29
4 2 0	60.2	5
3 3 1	64.0	5
5 1 0	69.7	4

Starting from a cell relaxed with PBE, the X-ray diffraction stick pattern of Ni3AsSe was simulated for Cu Ka.

Cell and atoms:
Cell lengths 3.7583, 6.7833, 5.9398 Å; angles 90.00, 90.00, 90.00 degrees
Space group Pmc2_1 (No. 26)
Asymmetric unit:
Ni (0.0000, 0.0779, 0.0000) (multiplicity 2)
Ni (0.0000, 0.3006, 0.6147) (multiplicity 2)
Ni (0.5000, 0.1865, 0.3455) (multiplicity 2)
As (0.5000, 0.1417, 0.7471) (multiplicity 2)
Se (0.0000, 0.3667, 0.2275) (multiplicity 2)

Most intense lines, 2θ = 5–70°, by angle:
(hkl)	2theta	intensity
0 1 0	13.1	54
1 1 0	27.1	46
0 2 1	30.3	43
1 0 2	38.6	67
1 2 1	38.8	44
1 1 2	41.0	100
1 3 0	46.9	80
2 0 0	48.4	69
1 3 1	49.5	49
0 2 3	53.6	41
1 1 3	54.1	62
1 3 2	56.7	27

Starting from a cell relaxed with PBE, the X-ray diffraction stick pattern of Ni5AsSe2 was simulated for Cu Ka.

Cell and atoms:
Cell lengths 3.6946, 3.6946, 18.1556 Å; angles 90.00, 90.00, 90.00 degrees
Space group I4/mmm (No. 139)
Asymmetric unit:
Ni (0.0000, 0.0000, 0.0000) (multiplicity 2)
Ni (0.0000, 0.5000, 0.0941) (multiplicity 8)
As (0.0000, 0.0000, 0.5000) (multiplicity 2)
Se (0.0000, 0.0000, 0.1729) (multiplicity 4)

Most intense lines, 2θ = 5–70°, by angle:
(hkl)	2theta	intensity
0 0 2	9.7	92
0 0 4	19.6	9
1 0 1	24.6	7
1 0 3	28.3	39
1 0 5	34.6	7
1 1 4	39.8	39
1 1 6	45.9	100
2 0 0	49.3	44
0 0 10	50.3	9
1 0 9	51.6	6
2 1 3	57.8	10
0 0 12	61.3	8

Starting from a cell relaxed with PBE, the X-ray diffraction stick pattern of SiNiAs2 was simulated for Cu Ka.

Cell and atoms:
Cell lengths 3.4894, 3.4895, 6.3398 Å; angles 90.00, 90.07, 90.00 degrees
Space group Pm (No. 6)
Asymmetric unit:
Si (0.0000, 0.0000, 0.0000) (multiplicity 1)
Ni (0.5000, 0.5000, 0.0000) (multiplicity 1)
As (0.5007, 0.0000, 0.2742) (multiplicity 1)
As (0.9992, 0.5000, 0.7258) (multiplicity 1)

Most intense lines, 2θ = 5–70°, by angle:
(hkl)	2theta	intensity
0 0 1	14.0	32
0 1 1	29.2	100
1 1 0	36.4	4
1 0 2	38.4	7
1 1 1	39.2	25
0 0 3	42.8	9
1 1 -2	46.6	63
1 0 -3	50.5	18
2 0 0	52.4	23
0 0 4	58.2	7
2 1 -1	61.2	24
0 2 3	69.9	6

Starting from a cell relaxed with PBE, the X-ray diffraction stick pattern of SiNiAs2 was simulated for Cu Ka.

Cell and atoms:
Cell lengths 3.1986, 3.1986, 6.9660 Å; angles 90.00, 90.00, 90.00 degrees
Space group P4mm (No. 99)
Asymmetric unit:
Si (0.0000, 0.0000, 0.0000) (multiplicity 1)
Ni (0.5000, 0.5000, 0.8231) (multiplicity 1)
As (0.0000, 0.0000, 0.6425) (multiplicity 1)
As (0.5000, 0.5000, 0.1776) (multiplicity 1)

Most intense lines, 2θ = 5–70°, by angle:
(hkl)	2theta	intensity
0 0 1	12.7	61
0 0 2	25.6	33
1 0 0	27.9	5
1 0 1	30.8	75
1 0 2	38.2	50
1 1 0	39.9	96
1 1 1	42.0	11
1 1 2	48.0	24
1 0 3	48.4	100
2 0 0	57.6	31
2 0 2	64.1	10
2 1 1	66.8	16

Starting from a cell relaxed with PBE, the X-ray diffraction stick pattern of SiNi6As was simulated for Cu Ka.

Cell and atoms:
Cell lengths 5.3087, 6.8818, 9.9719 Å; angles 90.00, 90.00, 90.00 degrees
Space group Fmmm (No. 69)
Asymmetric unit:
Si (0.0000, 0.0000, 0.0000) (multiplicity 4)
Ni (0.0000, 0.0000, 0.2443) (multiplicity 8)
Ni (0.2500, 0.2500, 0.1245) (multiplicity 16)
As (0.0000, 0.0000, 0.5000) (multiplicity 4)

Most intense lines, 2θ = 5–70°, by angle:
(hkl)	2theta	intensity
0 0 2	17.8	1
1 1 1	23.0	8
1 1 3	34.4	6
2 2 0	43.0	100
1 3 1	43.9	2
0 2 4	44.9	87
2 0 4	50.2	62
1 3 3	51.4	2
0 4 0	53.2	26
3 1 1	54.3	1
3 1 3	60.8	1
1 1 7	69.7	1